1.
Simulated powder XRD pattern of Tm3SiTe2 for λ = 1.5418 Å (Cu Kα), from a structure optimized by DFT (GGA-PBE).

Principal peaks in the range 2θ from 10° to 80°, in order of rising 2θ:
Position (°2θ)  d (Å)  I/Imax
25.78  3.456  16.4
28.19  3.166  8.1
29.67  3.011  52.0
29.89  2.989  100.0
42.28  2.137  32.8
42.66  2.119  17.5
42.93  2.107  56.2
53.02  1.727  17.9
53.40  1.716  11.7
62.12  1.494  13.3
70.45  1.337  8.2
78.77  1.215  9.2

Structural model:
a = 7.3380 Å, b = 7.3380 Å, c = 7.2913 Å
α = 99.85°, β = 99.85°, γ = 119.09°
Element x y z (fractional)
Tm 0.0000 0.5000 0.0000
Tm 0.1390 0.2829 0.4928
Tm 0.2829 0.1390 0.9928
Tm 0.5000 0.0000 0.5000
Tm 0.7171 0.8610 0.0072
Tm 0.8610 0.7171 0.5072
Si 0.0914 0.9086 0.2500
Si 0.9086 0.0914 0.7500
Te 0.2607 0.7393 0.7500
Te 0.4198 0.5802 0.2500
Te 0.5802 0.4198 0.7500
Te 0.7393 0.2607 0.2500

=====

2.
Simulated powder XRD pattern of Dy4InGe4Ir2 for λ = 1.5418 Å (Cu Kα), from a structure optimized by DFT (GGA-PBE).

Principal peaks in the range 2θ from 10° to 80°, in order of rising 2θ:
Position (°2θ)  d (Å)  I/Imax
11.74  7.541  21.4
32.68  2.740  34.9
33.02  2.713  32.3
34.53  2.597  26.5
35.73  2.513  100.0
36.42  2.467  35.1
38.00  2.368  19.3
40.25  2.240  15.1
40.45  2.230  17.8
41.86  2.158  19.7
42.13  2.145  44.4
72.85  1.298  16.7

Structural model:
a = 8.1641 Å, b = 8.1641 Å, c = 7.0217 Å
α = 106.21°, β = 106.21°, γ = 30.46°
Element x y z (fractional)
Dy 0.0873 0.0873 0.3868
Dy 0.1547 0.1547 0.9308
Dy 0.8453 0.8453 0.0692
Dy 0.9127 0.9127 0.6132
In 0.5000 0.5000 0.0000
Ge 0.3007 0.3007 0.7480
Ge 0.4357 0.4357 0.3398
Ge 0.5643 0.5643 0.6602
Ge 0.6993 0.6993 0.2520
Ir 0.2804 0.2804 0.3720
Ir 0.7196 0.7196 0.6280

=====

3.
Simulated powder XRD pattern of Nd2Al5Hg for λ = 1.5418 Å (Cu Kα), from a structure optimized by DFT (GGA-PBE).

Principal peaks in the range 2θ from 10° to 80°, in order of rising 2θ:
Position (°2θ)  d (Å)  I/Imax
15.46  5.732  25.9
15.69  5.648  26.5
24.77  3.594  70.7
26.81  3.326  33.0
31.21  2.866  24.8
31.68  2.824  19.0
36.82  2.441  100.0
37.23  2.415  39.5
38.65  2.330  28.1
46.47  1.954  15.9
68.74  1.366  16.1
70.23  1.340  16.1

Structural model:
a = 4.6596 Å, b = 6.5544 Å, c = 6.5544 Å
α = 60.98°, β = 90.00°, γ = 90.00°
Element x y z (fractional)
Nd 0.0000 0.0000 0.0000
Nd 0.5000 0.3226 0.3226
Al 0.0000 0.5257 0.9501
Al 0.0000 0.9501 0.5257
Al 0.5000 0.3851 0.8058
Al 0.5000 0.8058 0.3851
Al 0.5000 0.8071 0.8071
Hg 0.0000 0.5083 0.5083

=====

4.
Simulated powder XRD pattern of AgHgSO for λ = 1.5418 Å (Cu Kα), from a structure optimized by DFT (GGA-PBE).

Principal peaks in the range 2θ from 10° to 80°, in order of rising 2θ:
Position (°2θ)  d (Å)  I/Imax
10.13  8.736  34.8
24.23  3.673  54.2
26.25  3.395  27.8
29.86  2.992  100.0
31.55  2.836  52.7
33.21  2.697  20.4
34.78  2.580  49.4
41.34  2.184  24.2
42.84  2.111  23.8
45.12  2.010  37.6
55.10  1.667  24.2
58.20  1.585  35.1

Structural model:
a = 8.7360 Å, b = 6.7898 Å, c = 5.1591 Å
α = 90.00°, β = 90.00°, γ = 90.00°
Element x y z (fractional)
Ag 0.1453 0.0579 0.2500
Ag 0.1453 0.4421 0.7500
Ag 0.8547 0.5579 0.2500
Ag 0.8547 0.9421 0.7500
Hg 0.3947 0.5993 0.2500
Hg 0.3947 0.9007 0.7500
Hg 0.6053 0.0993 0.2500
Hg 0.6053 0.4007 0.7500
S 0.1276 0.0515 0.7500
S 0.1276 0.4485 0.2500
S 0.8724 0.5515 0.7500
S 0.8724 0.9485 0.2500
O 0.3820 0.5587 0.7500
O 0.3820 0.9413 0.2500
O 0.6180 0.0587 0.7500
O 0.6180 0.4413 0.2500

=====

5.
Simulated powder XRD pattern of Zn4O5 for λ = 1.5418 Å (Cu Kα), from a structure optimized by DFT (GGA-PBE).

Principal peaks in the range 2θ from 10° to 80°, in order of rising 2θ:
Position (°2θ)  d (Å)  I/Imax
11.25  7.866  2.8
33.67  2.662  100.0
34.20  2.622  3.5
35.11  2.556  34.5
36.98  2.431  1.9
46.16  1.967  10.2
50.49  1.808  27.4
59.29  1.559  26.5
62.07  1.495  32.4
70.80  1.331  10.7
74.19  1.278  7.6
77.44  1.232  7.9

Structural model:
a = 3.6151 Å, b = 3.6151 Å, c = 7.8661 Å
α = 90.00°, β = 90.00°, γ = 90.00°
Element x y z (fractional)
Zn 0.0000 0.0000 0.0000
Zn 0.0000 0.0000 0.5000
Zn 0.5000 0.5000 0.2429
Zn 0.5000 0.5000 0.7571
O 0.0000 0.5000 0.1680
O 0.0000 0.5000 0.8320
O 0.5000 0.0000 0.1680
O 0.5000 0.0000 0.8320
O 0.5000 0.5000 0.5000

=====

6.
Simulated powder XRD pattern of CsRbH2Pd for λ = 1.5418 Å (Cu Kα), from a structure optimized by DFT (GGA-PBE).

Principal peaks in the range 2θ from 10° to 80°, in order of rising 2θ:
Position (°2θ)  d (Å)  I/Imax
14.55  6.087  21.6
19.82  4.479  30.0
21.56  4.122  19.8
27.47  3.247  100.0
33.60  2.668  60.6
36.79  2.443  13.0
43.93  2.061  27.4
44.26  2.046  26.9
56.41  1.631  26.1
56.69  1.624  12.8
67.54  1.387  15.2
71.36  1.322  12.9

Structural model:
a = 6.8218 Å, b = 6.8218 Å, c = 6.8218 Å
α = 46.04°, β = 46.04°, γ = 46.04°
Element x y z (fractional)
Cs 0.0000 0.0000 0.0000
Rb 0.5017 0.5017 0.5017
H 0.1619 0.1619 0.1619
H 0.3476 0.3476 0.3476
Pd 0.2539 0.2539 0.2539

=====

7.
Simulated powder XRD pattern of ZrS4Br4F2 for λ = 1.5418 Å (Cu Kα), from a structure optimized by DFT (GGA-PBE).

Principal peaks in the range 2θ from 10° to 80°, in order of rising 2θ:
Position (°2θ)  d (Å)  I/Imax
13.61  6.506  31.1
15.34  5.776  92.4
17.90  4.957  77.7
23.92  3.720  54.6
24.14  3.687  100.0
28.43  3.140  93.6
33.76  2.655  65.6
34.70  2.585  38.6
37.50  2.398  33.1
38.56  2.335  38.7
39.00  2.309  30.9
41.67  2.167  29.1

Structural model:
a = 7.1349 Å, b = 7.2937 Å, c = 7.4715 Å
α = 84.41°, β = 62.09°, γ = 60.79°
Element x y z (fractional)
Zr 0.0000 0.0000 0.0000
S 0.0863 0.3380 0.3399
S 0.2352 0.3825 0.4964
S 0.7648 0.6175 0.5036
S 0.9137 0.6620 0.6601
Br 0.2586 0.5902 0.8234
Br 0.4032 0.0354 0.7927
Br 0.5968 0.9646 0.2073
Br 0.7414 0.4098 0.1766
F 0.0834 0.9041 0.2233
F 0.9166 0.0959 0.7767

=====

8.
Simulated powder XRD pattern of LaTbW2C3 for λ = 1.5418 Å (Cu Kα), from a structure optimized by DFT (GGA-PBE).

Principal peaks in the range 2θ from 10° to 80°, in order of rising 2θ:
Position (°2θ)  d (Å)  I/Imax
29.40  3.038  25.8
30.42  2.939  55.2
32.33  2.769  37.9
33.56  2.671  28.9
34.07  2.631  100.0
35.05  2.561  76.8
35.50  2.528  26.2
43.39  2.085  21.9
49.12  1.855  15.6
54.06  1.696  45.3
60.47  1.531  17.5
64.47  1.445  20.2

Structural model:
a = 6.3405 Å, b = 6.3405 Å, c = 5.8925 Å
α = 114.01°, β = 114.01°, γ = 31.02°
Element x y z (fractional)
La 0.0000 0.0000 0.0000
Tb 0.7849 0.7849 0.3729
W 0.2391 0.2391 0.8760
W 0.5557 0.5557 0.5203
C 0.1466 0.1466 0.4691
C 0.3942 0.3942 0.2089
C 0.6501 0.6501 0.9242